# Li2MnP2O7
Computed X-ray diffraction stick pattern, Cu Kα (weighted mean of Kα1 and Kα2). Input: a PBE+U-relaxed structure.

Crystal structure
a b c (Å): 5.0463 13.1513 9.5501
angles (deg): 90.00 118.95 90.00
Atoms (fractional coordinates):
Li 0.0351 0.1973 0.3517
Li 0.0351 0.3027 0.8517
Li 0.3875 0.6442 0.6584
Li 0.3875 0.8558 0.1584
Li 0.6125 0.1442 0.8416
Li 0.6125 0.3558 0.3416
Li 0.9649 0.6973 0.1483
Li 0.9649 0.8027 0.6483
Mn 0.3697 0.1293 0.1434
Mn 0.3697 0.3707 0.6434
Mn 0.6303 0.6293 0.3566
Mn 0.6303 0.8707 0.8566
P 0.0451 0.0298 0.7783
P 0.0451 0.4702 0.2783
P 0.2707 0.6914 0.9556
P 0.2707 0.8086 0.4556
P 0.7293 0.1914 0.5444
P 0.7293 0.3086 0.0444
P 0.9549 0.5298 0.7217
P 0.9549 0.9702 0.2217
O 0.0487 0.7373 0.4766
O 0.0487 0.7627 0.9766
O 0.1049 0.5825 0.8992
O 0.1049 0.9175 0.3992
O 0.1720 0.5700 0.2557
O 0.1720 0.9300 0.7557
O 0.2089 0.5156 0.6787
O 0.2089 0.9844 0.1787
O 0.2872 0.1046 0.8942
O 0.2872 0.3954 0.3942
O 0.3442 0.7281 0.8253
O 0.3442 0.7719 0.3253
O 0.4439 0.1760 0.3830
O 0.4439 0.3240 0.8830
O 0.5561 0.6760 0.1170
O 0.5561 0.8240 0.6170
O 0.6558 0.2281 0.6747
O 0.6558 0.2719 0.1747
O 0.7128 0.6046 0.6058
O 0.7128 0.8954 0.1058
O 0.7911 0.0156 0.8213
O 0.7911 0.4844 0.3213
O 0.8280 0.0700 0.2443
O 0.8280 0.4300 0.7443
O 0.8951 0.0825 0.6008
O 0.8951 0.4175 0.1008
O 0.9513 0.2373 0.0234
O 0.9513 0.2627 0.5234

Most intense lines, 2θ = 10–90°, sorted by position:
d (Å)	intensity	(hkl)
4.000	100.0	1 2 -1
3.982	20.4	0 1 2
3.666	19.1	1 2 0
3.527	36.4	0 2 2
2.725	17.4	0 1 3
2.637	25.0	1 4 0
2.349	19.9	1 1 -4
2.331	24.6	1 2 2